# Li3Mn2O5
Simulated powder diffraction line list, Cu Ka. Input: a cell relaxed with PBE+U.
Intensities are scaled so that the largest is 100.

Top 10 peaks for 2θ = 10–90°, in order of falling intensity:
- 18.37 deg, I 100.0, (1 0 0)
- 41.40 deg, I 33.5, (1 2 -1)
- 44.23 deg, I 27.0, (-2 1 2)
- 44.34 deg, I 26.9, (1 -1 3)
- 36.32 deg, I 21.9, (0 1 -3)
- 62.08 deg, I 15.8, (0 3 -4)
- 34.39 deg, I 14.0, (0 2 -1)
- 12.86 deg, I 9.8, (0 0 1)
- 17.97 deg, I 7.9, (0 1 -1)
- 62.31 deg, I 7.9, (3 1 -3)

Atomic structure:
Cell: 5.0810 5.2589 7.6485 Å, 110.07 103.04 97.07°
Sites, in units of the cell vectors:
1 Li 0.0000 0.0000 0.0000
2 Li 0.0037 0.4140 0.7966
3 Li 0.0190 0.2034 0.4050
4 Li 0.5000 0.0000 0.5000
5 Li 0.9810 0.7966 0.5950
6 Li 0.9963 0.5860 0.2034
7 Mn 0.4981 0.1977 0.8954
8 Mn 0.4995 0.6002 0.6987
9 Mn 0.5005 0.3998 0.3013
10 Mn 0.5019 0.8023 0.1046
11 O 0.2666 0.3881 0.0567
12 O 0.2686 0.7846 0.8501
13 O 0.2706 0.5806 0.4536
14 O 0.2810 0.2376 0.6658
15 O 0.2866 0.0294 0.2481
16 O 0.7134 0.9706 0.7519
17 O 0.7190 0.7624 0.3342
18 O 0.7294 0.4194 0.5464
19 O 0.7314 0.2154 0.1499
20 O 0.7334 0.6119 0.9433